This entry pairs a crystal structure of LiFeSiO4 with its calculated powder diffraction line list. Radiation: Cu Kα (weighted mean of Kα1 and Kα2). Structure: a structure optimized by DFT (GGA+U).
Peak positions follow from Bragg's law for the DFT cell and can differ from measured ones.

Main lines, low angle first (15° ≤ 2θ ≤ 90°):
2theta  intensity  hkl
15.31  100  1 0 0
18.13  36  1 0 -1
18.96  33  1 1 0
19.69  31  1 1 1
26.64  46  0 1 -2
29.10  35  0 0 3
29.45  59  1 2 1
32.14  38  1 -1 2
33.00  22  1 0 3
36.73  18  2 0 -2

Structural model:
Cell: 5.8943 6.5021 9.4736 Å, 76.34 87.28 79.11°
Space group P-1 (No. 2)
One atom of each set of equivalent atoms:
Li  0.0660  0.3470  0.1714 (multiplicity 2)
Li  0.0724  0.8450  0.2404 (multiplicity 2)
Fe  0.3042  0.6385  0.5753 (multiplicity 2)
Fe  0.4936  0.0659  0.2122 (multiplicity 2)
Si  0.2205  0.1728  0.5000 (multiplicity 2)
Si  0.3609  0.2873  0.8822 (multiplicity 2)
O  0.0419  0.7326  0.4514 (multiplicity 2)
O  0.2200  0.1014  0.8561 (multiplicity 2)
O  0.2209  0.1523  0.3315 (multiplicity 2)
O  0.2442  0.5255  0.7803 (multiplicity 2)
O  0.3114  0.9355  0.6126 (multiplicity 2)
O  0.3473  0.3000  0.0538 (multiplicity 2)
O  0.3811  0.8109  0.1742 (multiplicity 2)
O  0.3888  0.3436  0.5200 (multiplicity 2)